No. 1
# CsMnBi2Cl8
Computed powder XRD pattern, CuKα. Input: a crystal structure in Alexandria, relaxed with GGA-PBE.

Most intense lines, 2θ = 10–90°, by angle:
d/Å	2θ/deg	Rel. int.
8.792	10.06	920
4.419	20.09	615
3.949	22.52	536
3.438	25.92	1000
2.904	30.79	229
2.710	33.05	686
2.593	34.59	405
2.412	37.29	438
2.070	43.73	225
1.985	45.71	335
1.974	45.97	358
1.712	53.53	362

Crystal structure
Lattice parameters (Å, degrees): 6.8756 6.8756 26.3755 90.00 90.00 120.00
Space group R-3 (No. 148, hexagonal axes)
Symmetry-distinct sites (fractional):
Cs1 0.0000 0.0000 0.0000 [3 per cell]
Mn1 0.0000 0.0000 0.5000 [3 per cell]
Bi1 0.0000 0.0000 0.2019 [6 per cell]
Cl1 0.0000 0.0000 0.2995 [6 per cell]
Cl2 0.0211 0.4293 0.2143 [18 per cell]

No. 2
# Pu2ZrRu
Computed powder XRD pattern, CuKα. Input: a crystal structure in Alexandria, relaxed with GGA-PBE.

Most intense lines, 2θ = 10–90°, by angle:
d/Å	2θ/deg	Rel. int.
7.645	11.58	104
3.822	23.27	93
3.386	26.32	196
2.535	35.41	1000
2.395	37.56	486
2.036	44.50	116
2.029	44.65	74
1.911	47.58	72
1.693	54.17	171
1.494	62.14	130
1.408	66.40	327
1.267	74.93	75

Crystal structure
Lattice parameters (Å, degrees): 3.3865 3.3865 7.6448 90.00 90.00 90.00
Space group P4/mmm (No. 123)
Symmetry-distinct sites (fractional):
Pu1 0.0000 0.0000 0.2161 [2 per cell]
Zr1 0.5000 0.5000 0.5000 [1 per cell]
Ru1 0.5000 0.5000 0.0000 [1 per cell]

No. 3
# Si2SbAu
Computed powder XRD pattern, CuKα. Input: a crystal structure in Alexandria, relaxed with GGA-PBE.

Most intense lines, 2θ = 10–90°, by angle:
d/Å	2θ/deg	Rel. int.
6.234	14.21	126
3.150	28.33	478
3.120	28.62	473
2.715	32.99	1000
1.933	47.02	125
1.920	47.34	478
1.904	47.76	114
1.642	55.99	226
1.630	56.46	152
1.575	58.60	127
1.560	59.24	119
1.214	78.86	106

Crystal structure
Lattice parameters (Å, degrees): 6.6437 3.8655 6.6335 90.00 109.98 90.00
Space group C2/m (No. 12)
Symmetry-distinct sites (fractional):
Si1 0.2411 0.0000 0.2178 [4 per cell]
Sb1 0.0000 0.0000 0.5000 [2 per cell]
Au1 0.0000 0.5000 0.0000 [2 per cell]

No. 4
# Cs2Pm2SnS6
Computed powder XRD pattern, CuKα. Input: a crystal structure in Alexandria, relaxed with GGA-PBE.

Most intense lines, 2θ = 10–90°, by angle:
d/Å	2θ/deg	Rel. int.
8.290	10.67	453
4.145	21.44	445
3.383	26.35	631
3.084	28.95	498
3.048	29.30	1000
2.332	38.60	360
2.322	38.79	198
2.034	44.54	319
2.024	44.78	192
2.021	44.86	157
1.690	54.28	173
1.446	64.44	123

Crystal structure
Lattice parameters (Å, degrees): 7.0629 12.1236 8.6411 90.00 106.40 90.00
Space group C2/m (No. 12)
Symmetry-distinct sites (fractional):
Cs1 0.0000 0.1710 0.0000 [4 per cell]
Pm1 0.0000 0.3326 0.5000 [4 per cell]
Sn1 0.0000 0.0000 0.5000 [2 per cell]
S1 0.2186 0.1560 0.6791 [8 per cell]
S2 0.2450 0.0000 0.3238 [4 per cell]

No. 5
# Pm2DyY2Er4
Computed powder XRD pattern, CuKα. Input: a crystal structure in Alexandria, relaxed with GGA-PBE.

Most intense lines, 2θ = 10–90°, by angle:
d/Å	2θ/deg	Rel. int.
3.083	28.96	399
2.863	31.25	502
2.797	31.99	1000
2.660	33.70	909
2.235	40.35	145
1.793	50.93	384
1.671	54.96	139
1.583	58.28	196
1.520	60.97	446
1.510	61.42	154
1.487	62.47	153
1.119	87.14	184

Crystal structure
Lattice parameters (Å, degrees): 18.6276 3.5873 9.5342 90.00 115.75 90.00
Space group C2/m (No. 12)
Symmetry-distinct sites (fractional):
Pm1 0.1657 0.0000 0.0014 [4 per cell]
Dy1 0.0000 0.5000 0.0000 [2 per cell]
Y1 0.1468 0.5000 0.6629 [4 per cell]
Er1 0.0192 0.0000 0.3341 [4 per cell]
Er2 0.1851 0.5000 0.3364 [4 per cell]

No. 6
# La6Ru2Pb
Computed powder XRD pattern, CuKα. Input: a crystal structure in Alexandria, relaxed with GGA-PBE.

Most intense lines, 2θ = 10–90°, by angle:
d/Å	2θ/deg	Rel. int.
3.470	25.68	231
3.149	28.34	143
3.073	29.06	171
2.968	30.11	112
2.940	30.41	1000
2.699	33.19	338
2.618	34.26	481
2.433	36.95	100
2.358	38.17	235
2.289	39.36	217
1.992	45.53	187
1.566	58.97	152

Crystal structure
Lattice parameters (Å, degrees): 10.9469 5.2354 9.4680 90.00 103.18 90.00
Space group C2/m (No. 12)
Symmetry-distinct sites (fractional):
La1 0.0302 0.0000 0.3549 [4 per cell]
La2 0.1678 0.5000 0.8732 [4 per cell]
La3 0.1981 0.5000 0.3404 [4 per cell]
Ru1 0.1219 0.5000 0.6004 [4 per cell]
Pb1 0.0000 0.0000 0.0000 [2 per cell]

No. 7
# Re3Ru
Computed powder XRD pattern, CuKα. Input: a crystal structure in Alexandria, relaxed with GGA-PBE.

Most intense lines, 2θ = 10–90°, by angle:
d/Å	2θ/deg	Rel. int.
4.791	18.52	31
3.254	27.41	41
2.395	37.55	242
2.217	40.70	258
2.108	42.91	1000
1.627	56.56	149
1.383	67.76	173
1.258	75.60	190
1.198	80.13	27
1.173	82.14	205
1.156	83.63	148
1.108	88.13	30

Crystal structure
Lattice parameters (Å, degrees): 5.5321 5.5321 4.4339 90.00 90.00 120.00
Space group P6_3/mmc (No. 194)
Symmetry-distinct sites (fractional):
Re1 0.1643 0.3286 0.2500 [6 per cell]
Ru1 0.3333 0.6667 0.7500 [2 per cell]

No. 8
# Sm4Mg3Co
Computed powder XRD pattern, CuKα. Input: a crystal structure in Alexandria, relaxed with GGA-PBE.

Most intense lines, 2θ = 10–90°, by angle:
d/Å	2θ/deg	Rel. int.
8.096	10.93	92
4.048	21.96	244
3.614	24.63	482
2.696	33.23	1000
2.556	35.11	505
2.161	41.79	247
1.948	46.62	104
1.807	50.50	179
1.616	56.97	99
1.587	58.14	115
1.501	61.80	333
1.143	84.82	88

Crystal structure
Lattice parameters (Å, degrees): 3.6142 3.6142 16.1927 90.00 90.00 90.00
Space group P4/mmm (No. 123)
Symmetry-distinct sites (fractional):
Sm1 0.0000 0.0000 0.1001 [2 per cell]
Sm2 0.0000 0.0000 0.3704 [2 per cell]
Mg1 0.5000 0.5000 0.2388 [2 per cell]
Mg2 0.5000 0.5000 0.5000 [1 per cell]
Co1 0.5000 0.5000 0.0000 [1 per cell]